1.
Diffraction record for ErO. The PXRD pattern is computed, not measured: it uses the GGA-PBE geometry in the Materials Project and Cu Kα (weighted mean of Kα1 and Kα2).
Neutral-atom scattering factors, no anomalous dispersion.

Peak list (10 most intense, 15° ≤ 2θ ≤ 90°, in order of falling intensity)
two_theta	Rel. int.
32.15	100.0
25.96	44.1
45.79	37.4
60.82	31.5
37.79	21.6
57.05	20.8
76.04	18.3
46.42	17.9
64.72	14.4
82.85	7.5

Crystal structure
a = 3.9632 Å, b = 3.9632 Å, c = 4.7608 Å
α = 90.00°, β = 90.00°, γ = 120.00°
Space group P6_3/mmc (No. 194)
Unique sites:
Er  0.3333  0.6667  0.2500 [2 per cell]
O  0.3333  0.6667  0.7500 [2 per cell]


2.
Diffraction record for Te2MoWS2. The PXRD pattern is computed, not measured: it uses the GGA-PBE geometry in the Materials Project and Cu Kα (weighted mean of Kα1 and Kα2).
Neutral-atom scattering factors, no anomalous dispersion.

Peak list (10 most intense, 15° ≤ 2θ ≤ 90°, in order of falling intensity)
two_theta	Rel. int.
35.64	100.0
42.70	67.5
30.71	62.3
54.57	46.5
36.86	31.8
34.54	29.8
44.36	23.6
75.30	18.3
32.70	17.2
66.88	15.7

Crystal structure
a = 3.3646 Å, b = 3.3646 Å, c = 40.0822 Å
α = 90.00°, β = 90.00°, γ = 120.00°
Space group P-3m1 (No. 164)
Unique sites:
Te  0.3333  0.6667  0.3570 [2 per cell]
Te  0.3333  0.6667  0.4517 [2 per cell]
Mo  0.3333  0.6667  0.2181 [2 per cell]
W  0.3333  0.6667  0.5957 [2 per cell]
S  0.3333  0.6667  0.7441 [2 per cell]
S  0.3333  0.6667  0.8196 [2 per cell]


3.
Diffraction record for KCd4P3. The PXRD pattern is computed, not measured: it uses the GGA-PBE geometry in the Materials Project and Cu Kα (weighted mean of Kα1 and Kα2).
Neutral-atom scattering factors, no anomalous dispersion.

Peak list (10 most intense, 15° ≤ 2θ ≤ 90°, in order of falling intensity)
two_theta	Rel. int.
26.41	100.0
34.31	64.3
40.83	60.8
56.80	30.0
40.37	23.1
49.28	17.6
54.36	17.2
70.16	15.0
65.85	14.0
37.73	13.7

Crystal structure
a = 4.4207 Å, b = 4.4207 Å, c = 35.7640 Å
α = 90.00°, β = 90.00°, γ = 120.00°
Space group R-3m (No. 166, hexagonal axes)
Unique sites:
K  0.0000  0.0000  0.0000 [3 per cell]
Cd  0.0000  0.0000  0.1983 [6 per cell]
Cd  0.0000  0.0000  0.4097 [6 per cell]
P  0.0000  0.0000  0.2712 [6 per cell]
P  0.0000  0.0000  0.5000 [3 per cell]


4.
Diffraction record for Na2Cd11. The PXRD pattern is computed, not measured: it uses the GGA-PBE geometry in the Materials Project and Cu Kα (weighted mean of Kα1 and Kα2).
Neutral-atom scattering factors, no anomalous dispersion.

Peak list (10 most intense, 15° ≤ 2θ ≤ 90°, in order of falling intensity)
two_theta	Rel. int.
37.88	100.0
34.26	46.0
36.71	40.0
20.28	23.0
31.65	18.7
66.88	17.3
58.06	16.0
41.22	14.8
39.02	14.3
32.98	12.4

Crystal structure
a = 9.793 Å, b = 9.793 Å, c = 9.793 Å
α = 90.00°, β = 90.00°, γ = 90.00°
Space group Pm-3 (No. 200)
Unique sites:
Na  0.000  0.303  0.500 [6 per cell]
Cd  0.000  0.000  0.232 [6 per cell]
Cd  0.000  0.500  0.161 [6 per cell]
Cd  0.219  0.219  0.219 [8 per cell]
Cd  0.234  0.500  0.343 [12 per cell]
Cd  0.500  0.500  0.500 [1 per cell]